# Nb6Tl2VCl18
Simulated powder diffraction line list, copper Kα. Input: the PBE geometry in the Materials Project.
No peak broadening, texture or thermal motion is included.

Top 10 peaks for 2θ from 15° to 90°, by angle:
17.73 deg, rel. 44
19.10 deg, rel. 36
21.79 deg, rel. 36
23.17 deg, rel. 39
26.82 deg, rel. 43
30.20 deg, rel. 51
34.31 deg, rel. 100
38.53 deg, rel. 39
41.01 deg, rel. 60
52.08 deg, rel. 43

```
Nb6Tl2VCl18
1.0
4.6465 2.6827 8.5163
-4.6465 2.6827 8.5163
0.0000 -5.3654 8.5163
Nb Tl V Cl
6 2 1 18
Cartesian
-0.5214 -3.7439 9.7175
-3.5030 -1.4204 15.8316
-2.9816 2.3235 9.7175
2.9816 -2.3235 15.8316
3.5030 1.4204 9.7174
0.5214 3.7439 15.8316
0.0000 0.0000 5.6730
0.0000 0.0000 19.8760
0.0000 0.0000 12.7745
-4.0296 0.7870 11.3466
-2.6963 -3.0962 14.2025
-2.0578 0.3905 8.4924
-1.2247 -1.6926 11.3051
0.6907 -1.9774 8.4924
1.3332 -3.8832 11.3465
-2.0782 0.2143 14.2440
-1.3671 -1.5869 17.0567
-0.8535 1.9069 11.3051
0.8535 -1.9069 14.2440
1.3671 1.5869 8.4923
2.0782 -0.2143 11.3051
-1.3332 3.8832 14.2025
-0.6907 1.9774 17.0567
1.2247 1.6926 14.2440
2.0578 -0.3905 17.0567
2.6963 3.0962 11.3466
4.0296 -0.7870 14.2025
```